(1)
The following is a simulated powder diffractogram of YZrPS2. It was derived from a DFT-relaxed cell (GGA-PBE, Alexandria), using Cu Kα (weighted mean of Kα1 and Kα2).
Intensities are scaled so that the largest is 100.

Most intense lines, 2θ from 10° to 80°, in order of rising 2θ:
d 3.524, I 100.0
d 3.438, I 43.8
d 2.853, I 22.4
d 2.558, I 35.4
d 2.431, I 60.8
d 2.052, I 21.0
d 2.001, I 40.9
d 1.762, I 43.5
d 1.719, I 20.0
d 1.427, I 21.1

Crystal structure
```
YZrPS2
1.0
4.8623 0.0000 0.0000
0.0000 4.8623 0.0000
0.0000 0.0000 5.1151
Y Zr P S
1 1 1 2
Direct
0.0000 0.0000 0.0000 Y
0.5000 0.5000 0.5000 Zr
0.5000 0.5000 0.0000 P
0.0000 0.5000 0.5000 S
0.5000 0.0000 0.5000 S
```


(2)
The following is a simulated powder diffractogram of Cd2InPd2. It was derived from a DFT-relaxed cell (GGA-PBE, Alexandria), using Cu Kα (weighted mean of Kα1 and Kα2).
Intensities are scaled so that the largest is 100.

Most intense lines, 2θ from 10° to 80°, in order of rising 2θ:
d 4.066, I 17.4
d 2.330, I 100.0
d 2.312, I 50.1
d 2.294, I 94.2
d 2.165, I 38.8
d 1.696, I 17.2
d 1.604, I 14.7
d 1.367, I 16.4
d 1.345, I 16.1
d 1.325, I 14.7

Crystal structure
```
Cd2InPd2
1.0
9.6423 0.0000 0.0000
0.0000 6.7823 0.0000
-0.4103 0.0000 6.2321
Cd In Pd
8 4 8
Direct
0.0064 0.2238 0.0034 Cd
0.0064 0.2762 0.5034 Cd
0.3209 0.2466 0.4831 Cd
0.3209 0.2534 0.9831 Cd
0.6791 0.7466 0.0169 Cd
0.6791 0.7534 0.5169 Cd
0.9936 0.7238 0.4966 Cd
0.9936 0.7762 0.9966 Cd
0.3289 0.7473 0.9856 In
0.3289 0.7527 0.4856 In
0.6711 0.2473 0.5144 In
0.6711 0.2527 0.0144 In
0.1666 0.5114 0.2280 Pd
0.1666 0.9886 0.7280 Pd
0.4944 0.0029 0.7509 Pd
0.4944 0.4971 0.2509 Pd
0.5056 0.5029 0.7491 Pd
0.5056 0.9971 0.2491 Pd
0.8334 0.0114 0.2720 Pd
0.8334 0.4886 0.7720 Pd
```


(3)
The following is a simulated powder diffractogram of LiLu2Al2O6. It was derived from a DFT-relaxed cell (GGA-PBE, Alexandria), using Cu Kα (weighted mean of Kα1 and Kα2).
Intensities are scaled so that the largest is 100.

Most intense lines, 2θ from 10° to 80°, in order of rising 2θ:
d 7.125, I 100.0
d 4.750, I 27.5
d 2.885, I 51.8
d 2.850, I 24.6
d 2.674, I 63.5
d 2.466, I 44.8
d 2.027, I 51.0
d 1.664, I 48.3
d 1.622, I 13.1
d 1.438, I 19.0

Crystal structure
```
LiLu2Al2O6
1.0
3.3313 0.0000 0.0000
-1.6656 2.8850 0.0000
0.0000 0.0000 14.2497
Li Lu Al O
1 2 2 6
Direct
0.0000 0.0000 0.0000 Li
0.3333 0.6667 0.4138 Lu
0.3333 0.6667 0.8237 Lu
0.0000 0.0000 0.6195 Al
0.6667 0.3333 0.2086 Al
0.0000 0.0000 0.4896 O
0.0000 0.0000 0.7503 O
0.3333 0.6667 0.2050 O
0.3333 0.6667 0.6208 O
0.6667 0.3333 0.3395 O
0.6667 0.3333 0.9056 O
```


(4)
The following is a simulated powder diffractogram of Na3Zn2In7. It was derived from a DFT-relaxed cell (GGA-PBE, Alexandria), using Cu Kα (weighted mean of Kα1 and Kα2).
Intensities are scaled so that the largest is 100.

Most intense lines, 2θ from 10° to 80°, in order of rising 2θ:
d 5.376, I 29.3
d 5.088, I 96.9
d 2.973, I 38.3
d 2.672, I 80.4
d 2.649, I 89.7
d 2.544, I 100.0
d 2.483, I 82.6
d 2.419, I 68.6
d 2.310, I 61.3
d 1.911, I 34.7

Crystal structure
```
Na3Zn2In7
1.0
5.0915 0.0000 0.0000
-0.1398 5.9748 0.0000
-0.2452 -0.9275 10.4102
Na Zn In
3 2 7
Direct
0.0000 0.0000 0.0000 Na
0.0196 0.1460 0.3620 Na
0.9804 0.8540 0.6380 Na
0.4768 0.6162 0.7355 Zn
0.5232 0.3838 0.2645 Zn
0.0117 0.6180 0.2246 In
0.4681 0.7444 0.4550 In
0.4883 0.0681 0.8204 In
0.5000 0.5000 0.0000 In
0.5117 0.9319 0.1796 In
0.5319 0.2556 0.5450 In
0.9883 0.3820 0.7754 In
```


(5)
The following is a simulated powder diffractogram of TiInAs2. It was derived from a DFT-relaxed cell (GGA-PBE, Alexandria), using Cu Kα (weighted mean of Kα1 and Kα2).
Intensities are scaled so that the largest is 100.

Most intense lines, 2θ from 10° to 80°, in order of rising 2θ:
d 3.183, I 24.2
d 3.085, I 25.3
d 2.766, I 43.0
d 2.583, I 100.0
d 2.230, I 31.7
d 1.858, I 48.0
d 1.797, I 13.1
d 1.508, I 18.1
d 1.471, I 15.4
d 1.295, I 14.5

Crystal structure
```
TiInAs2
1.0
3.7161 0.0000 0.0000
-1.8581 3.2183 0.0000
0.0000 0.0000 21.6557
Ti In As
3 3 6
Direct
0.0000 0.0000 0.0000 Ti
0.3333 0.6667 0.6667 Ti
0.6667 0.3333 0.3333 Ti
0.0000 0.0000 0.8343 In
0.3333 0.6667 0.5010 In
0.6667 0.3333 0.1676 In
0.0000 0.0000 0.4025 As
0.0000 0.0000 0.5990 As
0.3333 0.6667 0.0692 As
0.3333 0.6667 0.2656 As
0.6667 0.3333 0.7358 As
0.6667 0.3333 0.9323 As
```


(6)
The following is a simulated powder diffractogram of USn2Pt9. It was derived from a DFT-relaxed cell (GGA-PBE, Alexandria), using Cu Kα (weighted mean of Kα1 and Kα2).
Intensities are scaled so that the largest is 100.

Most intense lines, 2θ from 10° to 80°, in order of rising 2θ:
d 6.150, I 0.7
d 4.095, I 0.7
d 3.883, I 0.8
d 3.407, I 0.7
d 2.896, I 0.6
d 2.364, I 100.0
d 2.048, I 49.4
d 1.448, I 33.0
d 1.236, I 13.2
d 1.234, I 26.5

Crystal structure
```
USn2Pt9
1.0
4.0925 0.0000 0.0000
0.0000 4.0925 0.0000
0.0000 0.0000 12.3008
U Sn Pt
1 2 9
Direct
0.0000 0.0000 0.0000 U
0.0000 0.0000 0.3380 Sn
0.0000 0.0000 0.6620 Sn
0.0000 0.5000 0.1675 Pt
0.0000 0.5000 0.5000 Pt
0.0000 0.5000 0.8325 Pt
0.5000 0.0000 0.1675 Pt
0.5000 0.0000 0.5000 Pt
0.5000 0.0000 0.8325 Pt
0.5000 0.5000 0.0000 Pt
0.5000 0.5000 0.3349 Pt
0.5000 0.5000 0.6651 Pt
```


(7)
The following is a simulated powder diffractogram of CeMg4In5. It was derived from a DFT-relaxed cell (GGA-PBE, Alexandria), using Cu Kα (weighted mean of Kα1 and Kα2).
Intensities are scaled so that the largest is 100.

Most intense lines, 2θ from 10° to 80°, in order of rising 2θ:
d 4.401, I 32.1
d 3.250, I 15.3
d 2.676, I 96.8
d 2.615, I 100.0
d 2.340, I 65.9
d 2.200, I 30.2
d 1.603, I 39.5
d 1.417, I 19.1
d 1.389, I 24.1
d 1.338, I 20.9

Crystal structure
```
CeMg4In5
1.0
3.2503 0.0000 0.0000
0.0000 4.4009 0.0000
0.0000 0.0000 16.8569
Ce Mg In
1 4 5
Direct
0.0000 0.0000 0.0000 Ce
0.0000 0.0000 0.2092 Mg
0.0000 0.0000 0.4023 Mg
0.0000 0.0000 0.5977 Mg
0.0000 0.0000 0.7908 Mg
0.5000 0.5000 0.1168 In
0.5000 0.5000 0.3069 In
0.5000 0.5000 0.5000 In
0.5000 0.5000 0.6931 In
0.5000 0.5000 0.8832 In
```


(8)
The following is a simulated powder diffractogram of Li2Zn2Rh. It was derived from a DFT-relaxed cell (GGA-PBE, Alexandria), using Cu Kα (weighted mean of Kα1 and Kα2).
Intensities are scaled so that the largest is 100.

Most intense lines, 2θ from 10° to 80°, in order of rising 2θ:
d 3.541, I 29.7
d 3.508, I 58.1
d 2.436, I 14.7
d 2.404, I 28.3
d 2.113, I 100.0
d 2.107, I 25.0
d 2.089, I 24.0
d 1.811, I 13.0
d 1.484, I 15.3
d 1.218, I 11.5

Crystal structure
```
Li2Zn2Rh
1.0
7.3349 0.0000 0.0000
0.0000 4.2150 0.0000
-2.5133 0.0000 4.2840
Li Zn Rh
4 4 2
Direct
0.1001 0.0000 0.3006 Li
0.3999 0.5000 0.6994 Li
0.6001 0.5000 0.3006 Li
0.8999 0.0000 0.6994 Li
0.2054 0.5000 0.1165 Zn
0.2946 0.0000 0.8835 Zn
0.7054 0.0000 0.1165 Zn
0.7946 0.5000 0.8835 Zn
0.0000 0.5000 0.5000 Rh
0.5000 0.0000 0.5000 Rh
```


(9)
The following is a simulated powder diffractogram of Ca2UAgS5. It was derived from a DFT-relaxed cell (GGA-PBE, Alexandria), using Cu Kα (weighted mean of Kα1 and Kα2).
Intensities are scaled so that the largest is 100.

Most intense lines, 2θ from 10° to 80°, in order of rising 2θ:
d 8.453, I 42.7
d 7.049, I 30.3
d 6.387, I 96.6
d 5.096, I 71.8
d 3.733, I 38.2
d 3.166, I 68.7
d 2.877, I 100.0
d 2.818, I 35.7
d 2.210, I 28.9
d 2.138, I 34.7

Crystal structure
```
Ca2UAgS5
1.0
2.0060 -8.4531 0.0000
2.0060 8.4531 0.0000
0.0000 0.0000 12.7733
Ca U Ag S
4 2 2 10
Direct
0.0734 0.9266 0.5000 Ca
0.1063 0.8937 0.1728 Ca
0.8937 0.1063 0.6728 Ca
0.9266 0.0734 0.0000 Ca
0.2331 0.7669 0.8796 U
0.7669 0.2331 0.3796 U
0.4204 0.5796 0.2887 Ag
0.5796 0.4204 0.7887 Ag
0.0849 0.9151 0.9168 S
0.2487 0.7513 0.5143 S
0.2704 0.7296 0.2438 S
0.3856 0.6144 0.8467 S
0.4969 0.5031 0.1211 S
0.5031 0.4969 0.6211 S
0.6144 0.3856 0.3467 S
0.7296 0.2704 0.7438 S
0.7513 0.2487 0.0143 S
0.9151 0.0849 0.4168 S
```


(10)
The following is a simulated powder diffractogram of NaLa3P2N6. It was derived from a DFT-relaxed cell (GGA-PBE, Alexandria), using Cu Kα (weighted mean of Kα1 and Kα2).
Intensities are scaled so that the largest is 100.

Most intense lines, 2θ from 10° to 80°, in order of rising 2θ:
d 3.938, I 86.7
d 2.897, I 100.0
d 2.683, I 81.9
d 2.334, I 38.8
d 1.969, I 42.9
d 1.817, I 22.9
d 1.709, I 18.7
d 1.673, I 19.4
d 1.628, I 34.2
d 1.449, I 16.2

Crystal structure
```
NaLa3P2N6
1.0
5.7948 0.0000 0.0000
-2.8974 5.0185 0.0000
0.0000 0.0000 6.3508
Na La P N
1 3 2 6
Direct
0.0000 0.0000 0.0000 Na
0.0000 0.0000 0.5000 La
0.3333 0.6667 0.1509 La
0.6667 0.3333 0.8491 La
0.3333 0.6667 0.6938 P
0.6667 0.3333 0.3062 P
0.1802 0.3603 0.7774 N
0.1802 0.8198 0.7774 N
0.3603 0.1802 0.2226 N
0.6397 0.8198 0.7774 N
0.8198 0.1802 0.2226 N
0.8198 0.6397 0.2226 N
```


(11)
The following is a simulated powder diffractogram of Dy4ThN4. It was derived from a DFT-relaxed cell (GGA-PBE, Alexandria), using Cu Kα (weighted mean of Kα1 and Kα2).
Intensities are scaled so that the largest is 100.

Most intense lines, 2θ from 10° to 80°, in order of rising 2θ:
d 4.182, I 5.0
d 2.875, I 100.0
d 2.504, I 45.1
d 2.462, I 21.6
d 1.771, I 14.8
d 1.756, I 30.9
d 1.508, I 28.8
d 1.489, I 14.6
d 1.438, I 14.8
d 1.252, I 4.4

Crystal structure
```
Dy4ThN4
1.0
-3.9600 3.9600 2.4620
3.9600 -3.9600 2.4620
3.9600 3.9600 -2.4620
Dy Th N
4 1 4
Direct
0.1070 0.3139 0.4209 Dy
0.3139 0.8930 0.2069 Dy
0.6861 0.1070 0.7931 Dy
0.8930 0.6861 0.5791 Dy
0.5000 0.5000 0.0000 Th
0.2015 0.5960 0.7975 N
0.4040 0.2015 0.6055 N
0.5960 0.7985 0.3945 N
0.7985 0.4040 0.2025 N
```


(12)
The following is a simulated powder diffractogram of Ag2AsAu. It was derived from a DFT-relaxed cell (GGA-PBE, Alexandria), using Cu Kα (weighted mean of Kα1 and Kα2).
Intensities are scaled so that the largest is 100.

Most intense lines, 2θ from 10° to 80°, in order of rising 2θ:
d 4.217, I 10.3
d 2.365, I 25.4
d 2.356, I 100.0
d 2.327, I 23.8
d 1.673, I 8.6
d 1.659, I 16.4
d 1.366, I 8.7
d 1.364, I 17.2
d 1.359, I 8.4
d 1.349, I 16.0

Crystal structure
```
Ag2AsAu
1.0
3.3466 0.0000 0.0000
0.0000 4.7302 0.0000
0.0000 0.0000 9.3078
Ag As Au
4 2 2
Direct
0.0000 0.0000 0.2424 Ag
0.0000 0.0000 0.7576 Ag
0.5000 0.5000 0.2576 Ag
0.5000 0.5000 0.7424 Ag
0.0000 0.5000 0.5000 As
0.5000 0.0000 0.0000 As
0.0000 0.5000 0.0000 Au
0.5000 0.0000 0.5000 Au
```